Entry 1:
Starting from DFT lattice parameters and positions (PBE), the powder X-ray diffraction pattern of Sr4GeN4 was calculated for Cu Kα X-rays.
Neutral-atom scattering factors, no anomalous dispersion.

Most intense lines, 10° ≤ 2θ ≤ 90°, by angle:
2theta	d/Å	I/Imax
29.6	3.021	630
29.7	3.004	582
30.5	2.931	1000
31.5	2.836	152
32.5	2.751	464
36.5	2.462	537
39.0	2.309	346
46.7	1.945	186
47.8	1.904	152
57.9	1.592	229

Atomic structure:
abc: 6.7683 6.8883 8.5798
angles: 82.30 74.15 60.72
Space group P-1 (No. 2)
Asymmetric unit:
Sr  0.0355  0.2264  0.0567 (multiplicity 2)
Sr  0.1175  0.2947  0.6334 (multiplicity 2)
Sr  0.2624  0.7741  0.5563 (multiplicity 2)
Sr  0.4125  0.7068  0.1331 (multiplicity 2)
Ge  0.3757  0.2481  0.2500 (multiplicity 2)
N  0.2113  0.0802  0.3401 (multiplicity 2)
N  0.2228  0.4603  0.0917 (multiplicity 2)
N  0.2930  0.9225  0.8398 (multiplicity 2)
N  0.3179  0.4600  0.4078 (multiplicity 2)

***

Entry 2:
Starting from DFT lattice parameters and positions (PBE), the powder X-ray diffraction pattern of LiAgSn was calculated for Cu Kα X-rays.
Neutral-atom scattering factors, no anomalous dispersion.

Most intense lines, 10° ≤ 2θ ≤ 90°, by angle:
2theta	d/Å	I/Imax
19.2	4.619	674
20.2	4.395	771
24.4	3.646	818
30.6	2.921	640
36.0	2.498	1000
41.1	2.197	887
43.5	2.083	501
43.8	2.066	828
44.3	2.044	350
68.7	1.367	379

Atomic structure:
abc: 6.5326 6.5326 5.9397
angles: 90.00 90.00 90.00
Space group P4_2/mnm (No. 136)
Asymmetric unit:
Li  0.1983  0.1983  0.0000 (multiplicity 4)
Ag  0.0000  0.5000  0.2500 (multiplicity 4)
Sn  0.1599  0.1599  0.5000 (multiplicity 4)

***

Entry 3:
Starting from DFT lattice parameters and positions (PBE), the powder X-ray diffraction pattern of K2PuTa3O12 was calculated for Cu Kα X-rays.
Neutral-atom scattering factors, no anomalous dispersion.

Most intense lines, 10° ≤ 2θ ≤ 90°, by angle:
2theta	d/Å	I/Imax
14.1	6.280	256
14.5	6.096	1000
27.4	3.253	358
27.9	3.200	545
28.1	3.175	194
28.4	3.140	218
29.3	3.048	753
33.7	2.659	266
47.8	1.901	232
49.0	1.860	247

Atomic structure:
abc: 7.4390 7.4390 18.8410
angles: 90.00 90.00 120.00
Space group R-3m (No. 166, hexagonal axes)
Asymmetric unit:
K  0.0000  0.0000  0.1008 (multiplicity 6)
Pu  0.0000  0.0000  0.5000 (multiplicity 3)
Ta  0.0000  0.5000  0.0000 (multiplicity 9)
O  0.0788  0.5394  0.1048 (multiplicity 18)
O  0.0810  0.5405  0.3523 (multiplicity 18)

***

Entry 4:
Starting from DFT lattice parameters and positions (PBE), the powder X-ray diffraction pattern of LaPuTlRh was calculated for Cu Kα X-rays.
Neutral-atom scattering factors, no anomalous dispersion.

Most intense lines, 10° ≤ 2θ ≤ 90°, by angle:
2theta	d/Å	I/Imax
10.2	8.667	177
28.7	3.106	150
31.0	2.889	111
34.0	2.639	1000
38.3	2.352	433
50.0	1.824	120
55.2	1.663	151
57.9	1.594	123
60.2	1.537	134
66.4	1.407	292

Atomic structure:
abc: 3.3268 3.3268 8.6666
angles: 90.00 90.00 90.00
Space group P4mm (No. 99)
Asymmetric unit:
La  0.0000  0.0000  0.0000 (multiplicity 1)
Pu  0.0000  0.0000  0.5791 (multiplicity 1)
Tl  0.5000  0.5000  0.3023 (multiplicity 1)
Rh  0.5000  0.5000  0.7537 (multiplicity 1)

***

Entry 5:
Starting from DFT lattice parameters and positions (PBE), the powder X-ray diffraction pattern of CdAg2Pt9 was calculated for Cu Kα X-rays.
Neutral-atom scattering factors, no anomalous dispersion.

Most intense lines, 10° ≤ 2θ ≤ 90°, by angle:
2theta	d/Å	I/Imax
22.1	4.016	39
31.5	2.840	33
38.8	2.319	1000
45.2	2.008	491
50.8	1.796	20
56.1	1.640	15
65.8	1.420	321
79.0	1.211	256
79.2	1.210	127
83.4	1.159	113

Atomic structure:
abc: 4.0186 4.0186 12.0321
angles: 90.00 90.00 90.00
Space group P4/mmm (No. 123)
Asymmetric unit:
Cd  0.0000  0.0000  0.0000 (multiplicity 1)
Ag  0.0000  0.0000  0.3347 (multiplicity 2)
Pt  0.0000  0.5000  0.1686 (multiplicity 4)
Pt  0.0000  0.5000  0.5000 (multiplicity 2)
Pt  0.5000  0.5000  0.0000 (multiplicity 1)
Pt  0.5000  0.5000  0.3339 (multiplicity 2)

***

Entry 6:
Starting from DFT lattice parameters and positions (PBE), the powder X-ray diffraction pattern of Sr2CeReN4 was calculated for Cu Kα X-rays.
Neutral-atom scattering factors, no anomalous dispersion.

Most intense lines, 10° ≤ 2θ ≤ 90°, by angle:
2theta	d/Å	I/Imax
18.9	4.690	206
29.4	3.036	499
32.0	2.799	1000
42.1	2.146	267
53.8	1.703	450
58.5	1.577	185
66.8	1.400	114
70.6	1.334	102
85.7	1.133	124
89.6	1.094	115

Atomic structure:
abc: 6.0711 6.0711 7.3853
angles: 90.00 90.00 90.00
Space group I-4 (No. 82)
Asymmetric unit:
Sr  0.0000  0.0000  0.0000 (multiplicity 2)
Sr  0.0000  0.5000  0.2500 (multiplicity 2)
Ce  0.0000  0.0000  0.5000 (multiplicity 2)
Re  0.0000  0.5000  0.7500 (multiplicity 2)
N  0.1891  0.7385  0.6738 (multiplicity 8)

***

Entry 7:
Starting from DFT lattice parameters and positions (PBE), the powder X-ray diffraction pattern of LaZnPdPt was calculated for Cu Kα X-rays.
Neutral-atom scattering factors, no anomalous dispersion.

Most intense lines, 10° ≤ 2θ ≤ 90°, by angle:
2theta	d/Å	I/Imax
18.0	4.915	230
24.0	3.713	381
33.7	2.658	959
38.5	2.338	544
40.7	2.215	1000
53.8	1.703	168
57.3	1.608	173
68.1	1.376	158
69.7	1.349	229
74.2	1.279	169

Atomic structure:
abc: 7.6671 4.4324 5.5457
angles: 90.00 117.59 90.00
Space group Cm (No. 8)
Asymmetric unit:
La  0.0000  0.0000  0.0000 (multiplicity 2)
Zn  0.0047  0.5000  0.5154 (multiplicity 2)
Pd  0.2896  0.5000  0.3701 (multiplicity 2)
Pt  0.2125  0.0000  0.6388 (multiplicity 2)

***

Entry 8:
Starting from DFT lattice parameters and positions (PBE), the powder X-ray diffraction pattern of Ho10Er4Th was calculated for Cu Kα X-rays.
Neutral-atom scattering factors, no anomalous dispersion.

Most intense lines, 10° ≤ 2θ ≤ 90°, by angle:
2theta	d/Å	I/Imax
27.5	3.243	852
29.0	3.083	801
29.1	3.064	1000
33.2	2.695	845
34.0	2.635	971
34.5	2.601	514
41.7	2.167	338
42.7	2.118	317
45.4	1.998	353
60.4	1.532	318

Atomic structure:
abc: 9.6905 9.6905 10.3250
angles: 90.00 90.00 90.00
Space group I4/m (No. 87)
Asymmetric unit:
Ho  0.0000  0.5000  0.2500 (multiplicity 4)
Ho  0.1125  0.2126  0.1613 (multiplicity 16)
Er  0.0712  0.3350  0.5000 (multiplicity 8)
Th  0.0000  0.0000  0.5000 (multiplicity 2)

***

Entry 9:
Starting from DFT lattice parameters and positions (PBE), the powder X-ray diffraction pattern of Nb2Ni3Sn was calculated for Cu Kα X-rays.
Neutral-atom scattering factors, no anomalous dispersion.

Most intense lines, 10° ≤ 2θ ≤ 90°, by angle:
2theta	d/Å	I/Imax
39.8	2.262	1000
43.9	2.063	181
45.8	1.981	169
49.2	1.852	136
65.3	1.429	109
68.0	1.378	94
77.9	1.226	120
80.7	1.191	121
85.7	1.133	105
85.9	1.131	101

Atomic structure:
abc: 3.9626 12.3772 3.7032
angles: 90.00 90.00 90.00
Space group Pmmn (No. 59, origin choice 2)
Asymmetric unit:
Nb  0.2500  0.0820  0.9999 (multiplicity 4)
Ni  0.2500  0.2500  0.4993 (multiplicity 2)
Ni  0.2500  0.5712  0.4999 (multiplicity 4)
Sn  0.2500  0.7500  0.0006 (multiplicity 2)

***

Entry 10:
Starting from DFT lattice parameters and positions (PBE), the powder X-ray diffraction pattern of Tc2Pt2Rh5 was calculated for Cu Kα X-rays.
Neutral-atom scattering factors, no anomalous dispersion.

Most intense lines, 10° ≤ 2θ ≤ 90°, by angle:
2theta	d/Å	I/Imax
40.3	2.235	1000
46.9	1.939	322
47.1	1.930	159
68.4	1.371	102
68.6	1.368	153
68.7	1.367	50
82.5	1.169	242
82.9	1.165	121
87.2	1.118	54
87.3	1.117	53

Atomic structure:
abc: 11.6304 3.8783 6.1035
angles: 90.00 108.43 90.00
Space group C2/m (No. 12)
Asymmetric unit:
Tc  0.0578  0.0000  0.3373 (multiplicity 4)
Pt  0.1085  0.5000  0.6678 (multiplicity 4)
Rh  0.0000  0.5000  0.0000 (multiplicity 2)
Rh  0.1649  0.0000  0.0030 (multiplicity 4)
Rh  0.2170  0.5000  0.3365 (multiplicity 4)

***

Entry 11:
Starting from DFT lattice parameters and positions (PBE), the powder X-ray diffraction pattern of La2Pm2NdDy was calculated for Cu Kα X-rays.
Neutral-atom scattering factors, no anomalous dispersion.

Most intense lines, 10° ≤ 2θ ≤ 90°, by angle:
2theta	d/Å	I/Imax
30.7	2.910	1000
30.8	2.902	215
40.0	2.254	80
44.0	2.057	211
54.7	1.678	265
54.8	1.676	85
60.9	1.521	185
64.1	1.452	79
78.2	1.223	89
86.3	1.127	71

Atomic structure:
abc: 7.1447 5.8039 10.0692
angles: 90.00 90.00 90.00
Space group Pmma (No. 51)
Asymmetric unit:
La  0.0000  0.0000  0.0000 (multiplicity 2)
La  0.2500  0.5000  0.1709 (multiplicity 2)
Pm  0.2500  0.0000  0.3323 (multiplicity 2)
Pm  0.2500  0.5000  0.8346 (multiplicity 2)
Nd  0.0000  0.5000  0.5000 (multiplicity 2)
Dy  0.2500  0.0000  0.6629 (multiplicity 2)

***

Entry 12:
Starting from DFT lattice parameters and positions (PBE), the powder X-ray diffraction pattern of SrCd9Ga3 was calculated for Cu Kα X-rays.
Neutral-atom scattering factors, no anomalous dispersion.

Most intense lines, 10° ≤ 2θ ≤ 90°, by angle:
2theta	d/Å	I/Imax
30.6	2.920	336
30.8	2.899	342
35.3	2.546	804
35.4	2.538	389
35.5	2.528	1000
35.8	2.511	357
35.9	2.501	288
39.6	2.274	295
39.8	2.265	690
40.0	2.255	339

Atomic structure:
abc: 5.8417 14.3433 7.6433
angles: 90.00 111.14 90.00
Space group C2/m (No. 12)
Asymmetric unit:
Sr  0.0000  0.0000  0.0000 (multiplicity 2)
Cd  0.0000  0.0000  0.5000 (multiplicity 2)
Cd  0.1070  0.3916  0.2145 (multiplicity 8)
Cd  0.1803  0.1763  0.3540 (multiplicity 8)
Ga  0.0000  0.5000  0.5000 (multiplicity 2)
Ga  0.2500  0.2500  0.0000 (multiplicity 4)

***

> What is the formula in the first record?

Sr4GeN4

***

> What is the formula in the third record?

K2PuTa3O12